# 1
Computed X-ray powder pattern
Compound: YbCo3
Radiation: Cu Ka
Structure: a cell relaxed with PBE
Lines closer than 0.1° are merged.

a b c (Å): 8.5185 8.5185 8.5185
angles (deg): 34.16 34.16 34.16
Positions (direct):
Yb 0.0000 0.0000 0.0000
Yb 0.1414 0.1414 0.1414
Yb 0.8586 0.8586 0.8586
Co 0.0788 0.5824 0.5824
Co 0.3344 0.3344 0.3344
Co 0.4176 0.4176 0.9212
Co 0.4176 0.9212 0.4176
Co 0.5000 0.5000 0.5000
Co 0.5824 0.0788 0.5824
Co 0.5824 0.5824 0.0788
Co 0.6656 0.6656 0.6656
Co 0.9212 0.4176 0.4176

Principal peaks in the range 2θ = 5–70°, in order of rising 2θ:
2θ 20.8, intensity 15; 2θ 33.3, intensity 52; 2θ 35.9, intensity 58; 2θ 36.4, intensity 40; 2θ 41.9, intensity 39; 2θ 42.6, intensity 100; 2θ 62.9, intensity 17; 2θ 69.1, intensity 23

---

# 2
Computed X-ray powder pattern
Compound: Yb4ZrCo33
Radiation: Cu Ka
Structure: a cell relaxed with PBE
Lines closer than 0.1° are merged.

a b c (Å): 8.3311 8.3311 8.1266
angles (deg): 90.00 90.00 120.00
Positions (direct):
Yb 0.0000 0.0000 0.0000
Yb 0.0000 0.0000 0.4946
Yb 0.3333 0.6667 0.9992
Yb 0.6667 0.3333 0.4874
Zr 0.6667 0.3333 0.8583
Co 0.0011 0.5005 0.2472
Co 0.0126 0.5063 0.7480
Co 0.0465 0.3752 0.4989
Co 0.0465 0.6713 0.4989
Co 0.1662 0.3323 0.7689
Co 0.1662 0.8338 0.7689
Co 0.1675 0.3350 0.2313
Co 0.1675 0.8325 0.2313
Co 0.3240 0.1620 0.7209
Co 0.3287 0.3752 0.4989
Co 0.3287 0.9535 0.4989
Co 0.3331 0.1666 0.2687
Co 0.3333 0.6667 0.3541
Co 0.3333 0.6667 0.6384
Co 0.3647 0.0378 0.0003
Co 0.3647 0.3269 0.0003
Co 0.4937 0.5063 0.7480
Co 0.4937 0.9874 0.7480
Co 0.4995 0.5005 0.2472
Co 0.4995 0.9989 0.2472
Co 0.6248 0.6713 0.4989
Co 0.6248 0.9535 0.4989
Co 0.6650 0.8325 0.2313
Co 0.6667 0.3333 0.1561
Co 0.6677 0.8338 0.7689
Co 0.6731 0.0378 0.0003
Co 0.6731 0.6353 0.0003
Co 0.8334 0.1666 0.2687
Co 0.8334 0.6669 0.2687
Co 0.8380 0.1620 0.7209
Co 0.8380 0.6760 0.7209
Co 0.9622 0.3269 0.0003
Co 0.9622 0.6353 0.0003

Principal peaks in the range 2θ = 5–70°, in order of rising 2θ:
2θ 30.7, intensity 42; 2θ 37.4, intensity 45; 2θ 41.7, intensity 40; 2θ 43.4, intensity 63; 2θ 43.7, intensity 100; 2θ 44.6, intensity 30; 2θ 47.3, intensity 16; 2θ 63.4, intensity 16